Entry 1:
Simulated X-ray diffraction stick pattern of Pa2Ge4Rh5 for copper Kα, from the GGA-PBE geometry in Alexandria.
Lines closer than 0.1° are merged.

Main lines, in order of rising 2θ (2θ from 10° to 80°):
2θ (°)	intensity
30.7	86
32.8	52
37.0	90
37.3	91
40.4	100
63.6	61

Crystal structure
```
Pa2Ge4Rh5
1.0
0.0000 4.7836 7.3365
2.8156 0.0000 7.3365
2.8156 4.7836 0.0000
Pa Ge Rh
2 4 5
Direct
0.1226 0.1226 0.8774 Pa
0.8774 0.8774 0.1226 Pa
0.2178 0.5144 0.4856 Ge
0.4856 0.7822 0.2178 Ge
0.5144 0.2178 0.7822 Ge
0.7822 0.4856 0.5144 Ge
0.0000 0.0000 0.5000 Rh
0.2500 0.2500 0.2500 Rh
0.5000 0.5000 0.0000 Rh
0.5000 0.5000 0.5000 Rh
0.7500 0.7500 0.7500 Rh
```


Entry 2:
Simulated X-ray diffraction stick pattern of Pa3Ge2Rh for copper Kα, from the GGA-PBE geometry in Alexandria.
Lines closer than 0.1° are merged.

Main lines, in order of rising 2θ (2θ from 10° to 80°):
2θ (°)	intensity
27.8	62
33.1	100
34.2	27
35.6	52
38.3	36
44.6	37

Crystal structure
```
Pa3Ge2Rh
1.0
11.9468 0.0000 0.0000
0.0000 4.0631 0.0000
0.0000 0.0000 10.9051
Pa Ge Rh
12 8 4
Direct
0.0469 0.2500 0.1145 Pa
0.1297 0.7500 0.5630 Pa
0.2313 0.2500 0.7756 Pa
0.2687 0.7500 0.2756 Pa
0.3703 0.2500 0.0630 Pa
0.4531 0.7500 0.6145 Pa
0.5469 0.2500 0.3855 Pa
0.6297 0.7500 0.9370 Pa
0.7313 0.2500 0.7244 Pa
0.7687 0.7500 0.2244 Pa
0.8703 0.2500 0.4370 Pa
0.9531 0.7500 0.8855 Pa
0.0052 0.7500 0.3009 Ge
0.1885 0.7500 0.9959 Ge
0.3115 0.2500 0.4959 Ge
0.4948 0.2500 0.8009 Ge
0.5052 0.7500 0.1991 Ge
0.6885 0.7500 0.5041 Ge
0.8115 0.2500 0.0041 Ge
0.9948 0.2500 0.6991 Ge
0.1237 0.2500 0.3750 Rh
0.3763 0.7500 0.8750 Rh
0.6237 0.2500 0.1250 Rh
0.8763 0.7500 0.6250 Rh
```


Entry 3:
Simulated X-ray diffraction stick pattern of Pa2Ge7Rh12 for copper Kα, from the GGA-PBE geometry in Alexandria.
Lines closer than 0.1° are merged.

Main lines, in order of rising 2θ (2θ from 10° to 80°):
2θ (°)	intensity
35.9	100
46.9	16
48.1	22
51.6	9
69.4	14
79.8	10

Crystal structure
```
Pa2Ge7Rh12
1.0
10.0192 0.0000 0.0000
-5.0096 8.6769 0.0000
0.0000 0.0000 3.8758
Pa Ge Rh
2 7 12
Direct
0.0000 0.0000 0.0000 Pa
0.3333 0.6667 0.5000 Pa
0.0621 0.4422 0.0000 Ge
0.2685 0.2309 0.5000 Ge
0.3801 0.9379 0.0000 Ge
0.5578 0.6199 0.0000 Ge
0.6667 0.3333 0.0000 Ge
0.7691 0.0376 0.5000 Ge
0.9624 0.7315 0.5000 Ge
0.0419 0.2595 0.5000 Rh
0.1214 0.7114 0.0000 Rh
0.2176 0.9581 0.5000 Rh
0.2886 0.4100 0.0000 Rh
0.3906 0.1875 0.0000 Rh
0.5378 0.4506 0.5000 Rh
0.5494 0.0872 0.5000 Rh
0.5900 0.8786 0.0000 Rh
0.7405 0.7824 0.5000 Rh
0.7969 0.6094 0.0000 Rh
0.8125 0.2031 0.0000 Rh
0.9128 0.4622 0.5000 Rh
```


Entry 4:
Simulated X-ray diffraction stick pattern of PaGe2Rh4 for copper Kα, from the GGA-PBE geometry in Alexandria.
Lines closer than 0.1° are merged.

Main lines, in order of rising 2θ (2θ from 10° to 80°):
2θ (°)	intensity
36.5	100
37.1	54
38.8	30
39.4	29
45.0	34
61.3	19

Crystal structure
```
PaGe2Rh4
1.0
17.0568 0.0000 0.0000
0.0000 4.0254 0.0000
0.0000 0.0000 6.6933
Pa Ge Rh
4 8 16
Direct
0.1360 0.2500 0.0066 Pa
0.3640 0.7500 0.5066 Pa
0.6360 0.2500 0.4934 Pa
0.8640 0.7500 0.9934 Pa
0.0431 0.7500 0.7204 Ge
0.2212 0.2500 0.4908 Ge
0.2788 0.7500 0.9908 Ge
0.4569 0.2500 0.2204 Ge
0.5431 0.7500 0.7796 Ge
0.7212 0.2500 0.0092 Ge
0.7788 0.7500 0.5092 Ge
0.9569 0.2500 0.2796 Ge
0.0305 0.7500 0.1358 Rh
0.0761 0.2500 0.4921 Rh
0.1847 0.7500 0.2762 Rh
0.1884 0.7500 0.7021 Rh
0.3116 0.2500 0.2021 Rh
0.3153 0.2500 0.7762 Rh
0.4239 0.7500 0.9921 Rh
0.4695 0.2500 0.6358 Rh
0.5305 0.7500 0.3642 Rh
0.5761 0.2500 0.0079 Rh
0.6847 0.7500 0.2238 Rh
0.6884 0.7500 0.7979 Rh
0.8116 0.2500 0.2979 Rh
0.8153 0.2500 0.7238 Rh
0.9239 0.7500 0.5079 Rh
0.9695 0.2500 0.8642 Rh
```